The following is a simulated XRD peak list of BaNa3Pd. It was derived from the GGA-PBE geometry in Alexandria, using Cu Ka.
Peak positions follow from Bragg's law for the DFT cell and can differ from measured ones.

Structure:
abc: 5.997 6.951 8.695
angles: 89.69 90.00 89.99
Sites, in units of the cell vectors:
Ba 0.000 0.000 0.000
Ba 0.247 0.500 0.501
Na 0.284 0.518 0.001
Na 0.503 0.944 0.709
Na 0.503 0.945 0.290
Na 0.744 0.443 0.210
Na 0.744 0.446 0.791
Na 0.963 0.018 0.500
Pd 0.513 0.154 0.998
Pd 0.734 0.654 0.499

The 12 most intense peaks (15° ≤ 2θ ≤ 90°), sorted by position:
two_theta, d [Å], Rel. int.
16.33, 5.429, 1000
20.43, 4.347, 444
22.09, 4.025, 214
25.63, 3.475, 155
31.48, 2.842, 198
31.56, 2.835, 252
32.52, 2.753, 411
33.43, 2.680, 122
36.25, 2.478, 142
36.41, 2.468, 145
38.71, 2.326, 285
43.43, 2.084, 179